[1]
For Pm3PrS4, a structure optimized by DFT (PBE) gives the simulated powder diffraction line list in this record (Cu Kα (weighted mean of Kα1 and Kα2)).
Peak positions follow from Bragg's law for the DFT cell and can differ from measured ones.

Top 8 peaks for 2θ from 10° to 80°, low angle first:
2theta  I_rel  (hkl)
26.9  75  1 1 1
31.2  100  2 0 0
44.7  72  2 2 0
53.0  37  3 1 1
55.5  25  2 2 2
65.1  12  4 0 0
71.8  15  3 3 1
74.0  32  4 2 0

Atomic structure:
```
data_Pm3PrS4
_chemical_formula_sum 'Pm3 Pr1 S4'
_symmetry_space_group_name_H-M 'P m -3 m'
_symmetry_Int_Tables_number 221
_symmetry_space_group_name_Hall '-P 4 2 3'
_cell_length_a 5.7316
_cell_length_b 5.7316
_cell_length_c 5.7316
_cell_angle_alpha 90.00
_cell_angle_beta 90.00
_cell_angle_gamma 90.00
loop_
_atom_site_label
_atom_site_fract_x
_atom_site_fract_y
_atom_site_fract_z
_atom_site_occupancy
Pm1 0.0000 0.0000 0.5000 1
Pr1 0.5000 0.5000 0.5000 1
S1 0.0000 0.0000 0.0000 1
S2 0.0000 0.5000 0.5000 1
```

***

[2]
For Pm2Pr2Se3S2, a structure optimized by DFT (PBE) gives the simulated powder diffraction line list in this record (Cu Kα (weighted mean of Kα1 and Kα2)).
Peak positions follow from Bragg's law for the DFT cell and can differ from measured ones.

Top 10 peaks for 2θ from 10° to 80°, low angle first:
2theta  I_rel  (hkl)
24.5  51  0 0 4
25.0  36  1 1 2
31.0  100  2 0 0
34.5  31  1 0 5
39.9  56  2 0 4
44.5  37  2 2 0
47.1  25  2 1 5
51.4  27  2 2 4
73.5  17  4 2 0
78.8  15  4 2 4

Atomic structure:
```
data_Pm2Pr2Se3S2
_chemical_formula_sum 'Pm4 Pr4 Se6 S4'
_symmetry_space_group_name_H-M 'I 4/m m m'
_symmetry_Int_Tables_number 139
_symmetry_space_group_name_Hall '-I 4 2'
_cell_length_a 5.7646
_cell_length_b 5.7646
_cell_length_c 14.5424
_cell_angle_alpha 90.00
_cell_angle_beta 90.00
_cell_angle_gamma 90.00
loop_
_atom_site_label
_atom_site_fract_x
_atom_site_fract_y
_atom_site_fract_z
_atom_site_occupancy
Pm1 0.0000 0.5000 0.0000 1
Pr1 0.0000 0.0000 0.2142 1
Se1 0.0000 0.0000 0.0000 1
Se2 0.0000 0.5000 0.2500 1
S1 0.0000 0.0000 0.4033 1
```

***

[3]
For TbPm3Pr3S8, a structure optimized by DFT (PBE) gives the simulated powder diffraction line list in this record (Cu Kα (weighted mean of Kα1 and Kα2)).
Peak positions follow from Bragg's law for the DFT cell and can differ from measured ones.

Top 10 peaks for 2θ from 10° to 80°, low angle first:
2theta  I_rel  (hkl)
13.4  17  0 0 3
26.8  17  0 0 6
27.0  49  2 0 2
31.2  100  0 2 4
44.6  36  2 0 8
44.8  36  2 2 0
53.0  25  2 2 6
55.6  19  4 0 4
73.8  16  2 2 12
74.1  16  2 4 4

Atomic structure:
```
data_TbPm3Pr3S8
_chemical_formula_sum 'Tb3 Pm9 Pr9 S24'
_symmetry_space_group_name_H-M 'R -3 m'
_symmetry_Int_Tables_number 166
_symmetry_space_group_name_Hall '-R 3 2"'
_cell_length_a 8.0931
_cell_length_b 8.0931
_cell_length_c 19.9442
_cell_angle_alpha 90.00
_cell_angle_beta 90.00
_cell_angle_gamma 120.00
loop_
_atom_site_label
_atom_site_fract_x
_atom_site_fract_y
_atom_site_fract_z
_atom_site_occupancy
Tb1 0.0000 0.0000 0.0000 1
Pm1 0.0000 0.5000 0.0000 1
Pr1 0.0000 0.5000 0.5000 1
S1 0.0000 0.0000 0.2521 1
S2 0.0059 0.5029 0.7466 1
```

***

[4]
For PmPr2Y3S6, a structure optimized by DFT (PBE) gives the simulated powder diffraction line list in this record (Cu Kα (weighted mean of Kα1 and Kα2)).
Peak positions follow from Bragg's law for the DFT cell and can differ from measured ones.

Top 10 peaks for 2θ from 10° to 80°, low angle first:
2theta  I_rel  (hkl)
27.0  16  0 0 2
27.4  44  2 0 0
31.6  100  1 3 1
45.1  36  2 0 2
45.5  12  0 6 0
45.7  23  3 3 -1
56.5  12  2 6 -2
66.1  11  2 6 2
74.7  10  0 6 4
75.6  10  4 6 0

Atomic structure:
```
data_PmPr2Y3S6
_chemical_formula_sum 'Pm2 Pr4 Y6 S12'
_symmetry_space_group_name_H-M 'C 1 2/m 1'
_symmetry_Int_Tables_number 12
_cell_length_a 6.8775
_cell_length_b 11.9505
_cell_length_c 6.9963
_cell_angle_alpha 90.00
_cell_angle_beta 109.19
_cell_angle_gamma 90.00
loop_
_symmetry_equiv_pos_as_xyz
'x,y,z'
'-x,-y,-z'
'-x,y,-z'
'x,-y,z'
'x+1/2,y+1/2,z'
'-x+1/2,-y+1/2,-z'
'-x+1/2,y+1/2,-z'
'x+1/2,-y+1/2,z'
loop_
_atom_site_label
_atom_site_fract_x
_atom_site_fract_y
_atom_site_fract_z
_atom_site_occupancy
Pm1 0.0000 0.0000 0.0000 1
Pr1 0.0000 0.3333 0.0000 1
Y1 0.0000 0.1681 0.5000 1
Y2 0.0000 0.5000 0.5000 1
S1 0.2410 0.0000 0.7338 1
S2 0.2465 0.3350 0.7348 1
```